Record 1
# Li4Mn3TeO12
Calculated X-ray powder pattern, a wavelength of 1.5418 Å. Input: the PBE+U geometry in the Materials Project.
Peak positions follow from Bragg's law for the DFT cell and can differ from measured ones.

Main lines, in order of rising 2θ (15 to 90 degrees two-theta):
| two_theta | I (rel.) |
| --- | --- |
| 20.67 | 36 |
| 21.04 | 100 |
| 33.49 | 57 |
| 37.28 | 12 |
| 41.71 | 22 |
| 53.21 | 27 |

Atomic structure:
```
Li4Mn3TeO12
1.0
4.9147 0.0000 0.0000
0.0000 8.2462 0.0000
-0.0161 0.0000 5.0337
Li Mn Te O
4 3 1 12
Direct
0.0000 0.0000 0.0000
0.0000 0.3879 0.5000
0.5000 0.5058 0.5000
0.5000 0.8975 0.0000
0.0000 0.8036 0.5000
0.5000 0.1012 0.5000
0.5000 0.2858 0.0000
0.0000 0.6041 0.0000
0.2044 0.7812 0.8242
0.2052 0.6234 0.3279
0.2450 0.4453 0.8419
0.2457 0.9527 0.3440
0.3057 0.1139 0.8302
0.3079 0.2771 0.3300
0.6921 0.2771 0.6700
0.6943 0.1139 0.1698
0.7543 0.9527 0.6560
0.7550 0.4453 0.1581
0.7948 0.6234 0.6721
0.7956 0.7812 0.1758
```


Record 2
# Li3Mn3TeO8
Calculated X-ray powder pattern, a wavelength of 1.5418 Å. Input: the PBE+U geometry in the Materials Project.
Peak positions follow from Bragg's law for the DFT cell and can differ from measured ones.

Main lines, in order of rising 2θ (15 to 90 degrees two-theta):
| two_theta | I (rel.) |
| --- | --- |
| 17.30 | 27 |
| 17.98 | 100 |
| 33.34 | 50 |
| 35.00 | 20 |
| 41.06 | 68 |
| 58.50 | 21 |

Atomic structure:
```
Li3Mn3TeO8
1.0
5.2619 -3.1549 0.0000
5.2619 3.1549 0.0000
-3.3636 0.0000 5.1261
Li Mn Te O
3 3 1 8
Direct
0.0000 0.0000 0.0000
0.0000 0.5000 0.5000
0.5000 0.0000 0.5000
0.0000 0.5000 0.0000
0.5000 0.0000 0.0000
0.5000 0.5000 0.5000
0.0000 0.0000 0.5000
0.2165 0.7768 0.7225
0.2225 0.2225 0.7165
0.2232 0.7835 0.2775
0.2685 0.2685 0.2357
0.7315 0.7315 0.7643
0.7768 0.2165 0.7225
0.7775 0.7775 0.2835
0.7835 0.2232 0.2775
```


Record 3
# Li3Mn3TeO8
Calculated X-ray powder pattern, a wavelength of 1.5418 Å. Input: the PBE+U geometry in the Materials Project.
Peak positions follow from Bragg's law for the DFT cell and can differ from measured ones.

Main lines, in order of rising 2θ (15 to 90 degrees two-theta):
| two_theta | I (rel.) |
| --- | --- |
| 17.31 | 27 |
| 17.89 | 100 |
| 33.78 | 17 |
| 35.03 | 20 |
| 40.71 | 45 |
| 41.67 | 22 |

Atomic structure:
```
Li3Mn3TeO8
1.0
6.1285 0.0000 0.0000
2.8382 5.4336 0.0000
3.0146 1.8165 10.2415
Li Mn Te O
6 6 2 16
Direct
0.0000 0.0000 0.0000
0.2170 0.7641 0.7669
0.2648 0.7150 0.2659
0.5000 0.5000 0.5000
0.7352 0.2850 0.7341
0.7830 0.2359 0.2331
0.0000 0.5000 0.0000
0.0000 0.5000 0.5000
0.2523 0.2445 0.2516
0.5000 0.0000 0.0000
0.5000 0.0000 0.5000
0.7477 0.7555 0.7484
0.2490 0.2514 0.7499
0.7510 0.7486 0.2501
0.0793 0.6396 0.1347
0.1204 0.1744 0.1071
0.1281 0.1368 0.6425
0.1416 0.5791 0.6340
0.3259 0.3787 0.3930
0.3555 0.9193 0.8587
0.3641 0.3723 0.8571
0.4185 0.8548 0.3590
0.5815 0.1452 0.6410
0.6359 0.6277 0.1429
0.6445 0.0807 0.1413
0.6741 0.6213 0.6070
0.8584 0.4209 0.3660
0.8719 0.8632 0.3575
0.8796 0.8256 0.8929
0.9207 0.3604 0.8653
```


Record 4
# Li4Ti3Mn3Te2O16
Calculated X-ray powder pattern, a wavelength of 1.5418 Å. Input: the PBE+U geometry in the Materials Project.
Peak positions follow from Bragg's law for the DFT cell and can differ from measured ones.

Main lines, in order of rising 2θ (15 to 90 degrees two-theta):
| two_theta | I (rel.) |
| --- | --- |
| 18.88 | 68 |
| 19.03 | 100 |
| 24.24 | 45 |
| 31.11 | 60 |
| 34.26 | 66 |
| 35.42 | 35 |

Atomic structure:
```
Li4Ti3Mn3Te2O16
1.0
5.2811 -3.0091 0.0000
5.2811 3.0091 0.0000
-0.0166 0.0000 10.3158
Li Ti Mn Te O
4 3 3 2 16
Direct
0.0000 0.0000 0.0000
0.0079 0.0079 0.5017
0.3376 0.3376 0.9116
0.6773 0.6773 0.4100
0.1713 0.6691 0.2318
0.6691 0.1713 0.2318
0.8318 0.8318 0.7315
0.1767 0.1767 0.2223
0.3408 0.8411 0.7213
0.8411 0.3408 0.7213
0.3422 0.3422 0.5035
0.6487 0.6487 0.0037
0.0070 0.0070 0.3212
0.0107 0.0107 0.8139
0.0459 0.5190 0.3535
0.1630 0.7012 0.6175
0.1770 0.1770 0.5884
0.3243 0.8279 0.1006
0.3519 0.3519 0.1247
0.5039 0.5039 0.3278
0.5190 0.0459 0.3535
0.5199 0.5199 0.8676
0.5217 0.9846 0.8259
0.6711 0.6711 0.6252
0.7012 0.1630 0.6175
0.8279 0.3243 0.1006
0.8585 0.8585 0.1294
0.9846 0.5217 0.8259
```


Record 5
# Li3TiMn3O8
Calculated X-ray powder pattern, a wavelength of 1.5418 Å. Input: the PBE+U geometry in the Materials Project.
Peak positions follow from Bragg's law for the DFT cell and can differ from measured ones.

Main lines, in order of rising 2θ (15 to 90 degrees two-theta):
| two_theta | I (rel.) |
| --- | --- |
| 18.40 | 100 |
| 18.91 | 53 |
| 19.89 | 58 |
| 20.03 | 59 |
| 35.32 | 56 |
| 63.43 | 53 |

Atomic structure:
```
Li3TiMn3O8
1.0
3.0222 -5.0360 0.0000
3.0222 5.0360 0.0000
-0.7684 0.0000 9.6462
Li Ti Mn O
6 2 6 16
Direct
0.0880 0.4357 0.5039
0.0887 0.9113 0.5000
0.4271 0.6119 0.0107
0.4357 0.0880 0.0039
0.6119 0.4271 0.5107
0.9113 0.0887 0.0000
0.5851 0.9047 0.5599
0.9047 0.5851 0.0599
0.0913 0.4236 0.7752
0.0912 0.9184 0.7751
0.4236 0.0913 0.2752
0.4293 0.5993 0.2811
0.5993 0.4293 0.7811
0.9184 0.0912 0.2751
0.0925 0.9431 0.1522
0.1112 0.4588 0.1513
0.2138 0.7392 0.9043
0.2355 0.2469 0.8867
0.2469 0.2355 0.3867
0.2957 0.7604 0.4139
0.4529 0.5979 0.6537
0.4588 0.1112 0.6513
0.5974 0.9527 0.1587
0.5979 0.4529 0.1537
0.7285 0.7536 0.4125
0.7392 0.2138 0.4043
0.7536 0.7285 0.9125
0.7604 0.2957 0.9139
0.9431 0.0925 0.6522
0.9527 0.5974 0.6587
```


Record 6
# Li4Ti2Mn5O12
Calculated X-ray powder pattern, a wavelength of 1.5418 Å. Input: the PBE+U geometry in the Materials Project.
Peak positions follow from Bragg's law for the DFT cell and can differ from measured ones.

Main lines, in order of rising 2θ (15 to 90 degrees two-theta):
| two_theta | I (rel.) |
| --- | --- |
| 17.84 | 45 |
| 22.65 | 34 |
| 36.17 | 39 |
| 41.46 | 59 |
| 42.29 | 100 |
| 60.78 | 29 |

Atomic structure:
```
Li4Ti2Mn5O12
1.0
5.2942 0.0000 0.0000
0.0000 9.0731 0.0000
-1.5745 0.0000 9.9412
Li Ti Mn O
8 4 10 24
Direct
0.0017 0.0000 0.2406
0.0078 0.8213 0.7591
0.2526 0.9958 0.9982
0.4928 0.8177 0.2417
0.5072 0.3177 0.7583
0.7474 0.4958 0.0018
0.9922 0.3213 0.2409
0.9983 0.5000 0.7594
0.2583 0.1636 0.5066
0.2587 0.6676 0.0048
0.7413 0.1676 0.9952
0.7417 0.6636 0.4934
0.0177 0.1478 0.7604
0.2499 0.8321 0.5052
0.2507 0.3367 0.0053
0.2541 0.4903 0.4984
0.4899 0.1573 0.2433
0.5101 0.6573 0.7567
0.7459 0.9903 0.5016
0.7493 0.8367 0.9947
0.7501 0.3321 0.4948
0.9823 0.6478 0.2396
0.1120 0.6629 0.6136
0.1149 0.1728 0.1133
0.1208 0.4983 0.1078
0.1257 0.0007 0.6142
0.1355 0.3104 0.6217
0.1361 0.8084 0.1247
0.3544 0.3078 0.3832
0.3574 0.0005 0.3830
0.3568 0.4985 0.8865
0.3573 0.8055 0.8811
0.3873 0.1798 0.8953
0.3971 0.6707 0.3930
0.6029 0.1707 0.6070
0.6127 0.6798 0.1047
0.6427 0.3055 0.1189
0.6426 0.5005 0.6170
0.6432 0.9985 0.1135
0.6456 0.8078 0.6168
0.8639 0.3084 0.8753
0.8645 0.8104 0.3783
0.8743 0.5007 0.3858
0.8792 0.9983 0.8922
0.8851 0.6728 0.8867
0.8880 0.1629 0.3864
```


Record 7
# Li5Ti2Mn5O12
Calculated X-ray powder pattern, a wavelength of 1.5418 Å. Input: the PBE+U geometry in the Materials Project.
Peak positions follow from Bragg's law for the DFT cell and can differ from measured ones.

Main lines, in order of rising 2θ (15 to 90 degrees two-theta):
| two_theta | I (rel.) |
| --- | --- |
| 17.89 | 35 |
| 22.73 | 29 |
| 41.77 | 51 |
| 41.93 | 100 |
| 60.55 | 41 |
| 60.78 | 27 |

Atomic structure:
```
Li5Ti2Mn5O12
1.0
2.6480 -4.5881 0.0000
2.6480 4.5881 0.0000
-1.7097 0.0000 9.9168
Li Ti Mn O
5 2 5 12
Direct
0.0000 0.0000 0.0000
0.2414 0.2521 0.7566
0.4203 0.0709 0.2427
0.7479 0.7586 0.2434
0.9291 0.5797 0.7573
0.3276 0.6724 0.0000
0.8320 0.1680 0.5000
0.0810 0.4005 0.2421
0.1650 0.8350 0.5000
0.5032 0.4968 0.5000
0.5995 0.9190 0.7579
0.6601 0.3399 0.0000
0.0725 0.7027 0.1208
0.1014 0.1241 0.3790
0.1823 0.5119 0.6152
0.2973 0.9275 0.8792
0.3845 0.3973 0.1165
0.4881 0.8177 0.3848
0.5696 0.2035 0.6198
0.6027 0.6155 0.8835
0.6824 0.0262 0.1117
0.7965 0.4304 0.3802
0.8759 0.8986 0.6210
0.9738 0.3176 0.8883
```


Q: Which formula does entry 2 have?
A: Li3Mn3TeO8


Copy entry 6 word for word.
# Li4Ti2Mn5O12
Calculated X-ray powder pattern, a wavelength of 1.5418 Å. Input: the PBE+U geometry in the Materials Project.
Peak positions follow from Bragg's law for the DFT cell and can differ from measured ones.

Main lines, in order of rising 2θ (15 to 90 degrees two-theta):
| two_theta | I (rel.) |
| --- | --- |
| 17.84 | 45 |
| 22.65 | 34 |
| 36.17 | 39 |
| 41.46 | 59 |
| 42.29 | 100 |
| 60.78 | 29 |

Atomic structure:
```
Li4Ti2Mn5O12
1.0
5.2942 0.0000 0.0000
0.0000 9.0731 0.0000
-1.5745 0.0000 9.9412
Li Ti Mn O
8 4 10 24
Direct
0.0017 0.0000 0.2406
0.0078 0.8213 0.7591
0.2526 0.9958 0.9982
0.4928 0.8177 0.2417
0.5072 0.3177 0.7583
0.7474 0.4958 0.0018
0.9922 0.3213 0.2409
0.9983 0.5000 0.7594
0.2583 0.1636 0.5066
0.2587 0.6676 0.0048
0.7413 0.1676 0.9952
0.7417 0.6636 0.4934
0.0177 0.1478 0.7604
0.2499 0.8321 0.5052
0.2507 0.3367 0.0053
0.2541 0.4903 0.4984
0.4899 0.1573 0.2433
0.5101 0.6573 0.7567
0.7459 0.9903 0.5016
0.7493 0.8367 0.9947
0.7501 0.3321 0.4948
0.9823 0.6478 0.2396
0.1120 0.6629 0.6136
0.1149 0.1728 0.1133
0.1208 0.4983 0.1078
0.1257 0.0007 0.6142
0.1355 0.3104 0.6217
0.1361 0.8084 0.1247
0.3544 0.3078 0.3832
0.3574 0.0005 0.3830
0.3568 0.4985 0.8865
0.3573 0.8055 0.8811
0.3873 0.1798 0.8953
0.3971 0.6707 0.3930
0.6029 0.1707 0.6070
0.6127 0.6798 0.1047
0.6427 0.3055 0.1189
0.6426 0.5005 0.6170
0.6432 0.9985 0.1135
0.6456 0.8078 0.6168
0.8639 0.3084 0.8753
0.8645 0.8104 0.3783
0.8743 0.5007 0.3858
0.8792 0.9983 0.8922
0.8851 0.6728 0.8867
0.8880 0.1629 0.3864
```